Diffraction record for Ac2TmThSe4. The powder X-ray diffraction pattern is theoretical, not measured: it uses DFT lattice parameters and positions (PBE) and Cu Kα (weighted mean of Kα1 and Kα2).
Peak positions follow from Bragg's law for the DFT cell and can differ from measured ones.

Top 10 peaks for 2θ = 5–70°, low angle first:
- d = 3.569 Å, rel. 11
- d = 3.461 Å, rel. 19
- d = 3.032 Å, rel. 100
- d = 2.182 Å, rel. 13
- d = 2.156 Å, rel. 25
- d = 2.133 Å, rel. 25
- d = 2.107 Å, rel. 12
- d = 1.730 Å, rel. 13
- d = 1.516 Å, rel. 12
- d = 1.362 Å, rel. 11

Structure:
```
data_Ac2TmThSe4
_chemical_formula_sum 'Ac2 Tm1 Th1 Se4'
_cell_length_a 7.419
_cell_length_b 4.213
_cell_length_c 7.529
_cell_angle_alpha 90.00
_cell_angle_beta 108.55
_cell_angle_gamma 90.00
_space_group_name_H-M_alt 'P 1'
_space_group_IT_number 1
loop_
_space_group_symop_operation_xyz
'x,y,z'
loop_
_atom_site_label
_atom_site_type_symbol
_atom_site_fract_x
_atom_site_fract_y
_atom_site_fract_z
Ac1 Ac 0.000 0.000 0.000
Ac2 Ac 0.500 0.500 0.000
Tm1 Tm 0.000 0.500 0.500
Th1 Th 0.500 0.000 0.500
Se1 Se 0.231 0.000 0.721
Se2 Se 0.247 0.500 0.273
Se3 Se 0.753 0.500 0.727
Se4 Se 0.769 0.000 0.279
```

Diffraction record for Ac3TlSe6. The powder X-ray diffraction pattern is theoretical, not measured: it uses DFT lattice parameters and positions (PBE) and Cu Kα (weighted mean of Kα1 and Kα2).
Peak positions follow from Bragg's law for the DFT cell and can differ from measured ones.

Top 10 peaks for 2θ = 5–70°, low angle first:
- d = 3.979 Å, rel. 100
- d = 3.942 Å, rel. 51
- d = 3.441 Å, rel. 25
- d = 2.896 Å, rel. 29
- d = 2.678 Å, rel. 48
- d = 2.644 Å, rel. 35
- d = 2.423 Å, rel. 57
- d = 2.091 Å, rel. 22
- d = 2.079 Å, rel. 19
- d = 2.014 Å, rel. 17

Structure:
```
data_Ac3TlSe6
_chemical_formula_sum 'Ac6 Tl2 Se12'
_cell_length_a 9.695
_cell_length_b 9.695
_cell_length_c 7.378
_cell_angle_alpha 90.00
_cell_angle_beta 90.00
_cell_angle_gamma 102.90
_space_group_name_H-M_alt 'P 1'
_space_group_IT_number 1
loop_
_space_group_symop_operation_xyz
'x,y,z'
loop_
_atom_site_label
_atom_site_type_symbol
_atom_site_fract_x
_atom_site_fract_y
_atom_site_fract_z
Ac1 Ac 0.101 0.899 0.500
Ac2 Ac 0.213 0.414 0.425
Ac3 Ac 0.414 0.213 0.925
Ac4 Ac 0.586 0.787 0.425
Ac5 Ac 0.787 0.586 0.925
Ac6 Ac 0.899 0.101 0.000
Tl1 Tl 0.303 0.697 0.886
Tl2 Tl 0.697 0.303 0.386
Se1 Se 0.063 0.595 0.695
Se2 Se 0.137 0.184 0.713
Se3 Se 0.184 0.137 0.213
Se4 Se 0.281 0.719 0.246
Se5 Se 0.405 0.937 0.695
Se6 Se 0.468 0.532 0.728
Se7 Se 0.532 0.468 0.228
Se8 Se 0.595 0.063 0.195
Se9 Se 0.719 0.281 0.746
Se10 Se 0.816 0.863 0.713
Se11 Se 0.863 0.816 0.213
Se12 Se 0.937 0.405 0.195
```

Diffraction record for AcTl3Se3. The powder X-ray diffraction pattern is theoretical, not measured: it uses DFT lattice parameters and positions (PBE) and Cu Kα (weighted mean of Kα1 and Kα2).
Peak positions follow from Bragg's law for the DFT cell and can differ from measured ones.

Top 10 peaks for 2θ = 5–70°, low angle first:
- d = 3.781 Å, rel. 44
- d = 3.684 Å, rel. 40
- d = 3.351 Å, rel. 50
- d = 3.176 Å, rel. 100
- d = 2.305 Å, rel. 72
- d = 2.289 Å, rel. 20
- d = 2.205 Å, rel. 19
- d = 1.945 Å, rel. 16
- d = 1.890 Å, rel. 19
- d = 1.842 Å, rel. 19

Structure:
```
data_AcTl3Se3
_chemical_formula_sum 'Ac2 Tl6 Se6'
_cell_length_a 9.238
_cell_length_b 9.238
_cell_length_c 9.238
_cell_angle_alpha 122.97
_cell_angle_beta 120.57
_cell_angle_gamma 86.97
_space_group_name_H-M_alt 'P 1'
_space_group_IT_number 1
loop_
_space_group_symop_operation_xyz
'x,y,z'
loop_
_atom_site_label
_atom_site_type_symbol
_atom_site_fract_x
_atom_site_fract_y
_atom_site_fract_z
Ac1 Ac 0.467 0.217 0.250
Ac2 Ac 0.533 0.783 0.750
Tl1 Tl 0.000 0.247 0.247
Tl2 Tl 0.000 0.753 0.753
Tl3 Tl 0.001 0.751 0.250
Tl4 Tl 0.500 0.247 0.747
Tl5 Tl 0.500 0.753 0.253
Tl6 Tl 0.999 0.249 0.750
Se1 Se 0.244 0.994 0.250
Se2 Se 0.274 0.000 0.774
Se3 Se 0.274 0.500 0.274
Se4 Se 0.726 0.000 0.226
Se5 Se 0.726 0.500 0.726
Se6 Se 0.756 0.006 0.750
```

Diffraction record for Ac3TlSe2. The powder X-ray diffraction pattern is theoretical, not measured: it uses DFT lattice parameters and positions (PBE) and Cu Kα (weighted mean of Kα1 and Kα2).
Peak positions follow from Bragg's law for the DFT cell and can differ from measured ones.

Top 10 peaks for 2θ = 5–70°, low angle first:
- d = 3.264 Å, rel. 51
- d = 3.251 Å, rel. 100
- d = 2.355 Å, rel. 20
- d = 2.303 Å, rel. 79
- d = 2.247 Å, rel. 19
- d = 1.910 Å, rel. 22
- d = 1.851 Å, rel. 21
- d = 1.459 Å, rel. 20
- d = 1.455 Å, rel. 18
- d = 1.349 Å, rel. 13

Structure:
```
data_Ac3TlSe2
_chemical_formula_sum 'Ac3 Tl1 Se2'
_cell_length_a 4.494
_cell_length_b 6.528
_cell_length_c 8.096
_cell_angle_alpha 113.71
_cell_angle_beta 106.11
_cell_angle_gamma 90.01
_space_group_name_H-M_alt 'P 1'
_space_group_IT_number 1
loop_
_space_group_symop_operation_xyz
'x,y,z'
loop_
_atom_site_label
_atom_site_type_symbol
_atom_site_fract_x
_atom_site_fract_y
_atom_site_fract_z
Ac1 Ac 0.000 0.000 0.000
Ac2 Ac 0.325 0.324 0.648
Ac3 Ac 0.675 0.676 0.352
Tl1 Tl 0.000 0.500 0.000
Se1 Se 0.332 0.835 0.671
Se2 Se 0.668 0.165 0.329
```

Q: Number 3 is which compound?
A: AcTl3Se3